For Sm3ErGe2C, the GGA-PBE geometry in Alexandria gives the calculated XRD peak list in this record (Cu Kα (λ = 1.5418 Å)).

Cell and atoms:
```
data_Sm3ErGe2C
_chemical_formula_sum 'Sm6 Er2 Ge4 C2'
_symmetry_space_group_name_H-M 'I m m m'
_symmetry_Int_Tables_number 71
_symmetry_space_group_name_Hall '-I 2 2'
_cell_length_a 4.696
_cell_length_b 4.807
_cell_length_c 15.576
_cell_angle_alpha 90.00
_cell_angle_beta 90.00
_cell_angle_gamma 90.00
loop_
_atom_site_label
_atom_site_fract_x
_atom_site_fract_y
_atom_site_fract_z
_atom_site_occupancy
Sm1 0.000 0.000 0.000 1
Sm2 0.000 0.500 0.168 1
Er1 0.000 0.000 0.500 1
Ge1 0.000 0.500 0.365 1
C1 0.000 0.500 0.000 1
```

Main lines, in order of rising 2θ (5 to 70 degrees two-theta):
| 2θ (°) | Rel. int. | h k l |
| --- | --- | --- |
| 28.9 | 100 | 1 1 2 |
| 34.6 | 39 | 0 0 6 |
| 35.3 | 90 | 1 1 4 |
| 37.4 | 33 | 0 2 0 |
| 38.3 | 31 | 2 0 0 |
| 66.1 | 26 | 1 3 4 |